Computed X-ray powder pattern of Li2AcPm for Cu Kα (weighted mean of Kα1 and Kα2), from a crystal structure in Alexandria, relaxed with GGA-PBE.
Kinematic intensities with the Lorentz-polarization factor, no thermal factor.

Cell and atoms:
a b c (Å): 5.515 5.515 3.973
angles (deg): 90.00 90.00 90.00
Space group P4/mmm (No. 123)
One atom of each set of equivalent atoms:
Li 0.000 0.500 0.000 x2
Ac 0.000 0.000 0.500 x1
Pm 0.500 0.500 0.500 x1

Largest 10 diffraction maxima, sorted by position, 2θ = 5–70°:
h k l, d (Å), I (rel.)
0 0 1, 3.973, 52
1 1 0, 3.900, 100
1 1 1, 2.783, 95
2 0 0, 2.758, 46
2 0 1, 2.265, 48
1 1 2, 1.770, 23
2 2 1, 1.751, 22
3 1 0, 1.744, 22
2 0 2, 1.612, 19
3 1 1, 1.597, 37

Computed X-ray powder pattern of RbTi4Cl7 for Cu Kα (weighted mean of Kα1 and Kα2), from a crystal structure in Alexandria, relaxed with GGA-PBE.
Kinematic intensities with the Lorentz-polarization factor, no thermal factor.

Cell and atoms:
a b c (Å): 15.897 6.081 5.949
angles (deg): 90.00 90.00 90.00
Space group Pmn2_1 (No. 31)
One atom of each set of equivalent atoms:
Rb 0.000 0.246 0.000 x2
Ti 0.150 0.751 0.639 x4
Ti 0.237 0.400 0.546 x4
Cl 0.000 0.648 0.550 x2
Cl 0.114 0.723 0.030 x4
Cl 0.121 0.138 0.468 x4
Cl 0.220 0.225 0.928 x4

Largest 10 diffraction maxima, sorted by position, 2θ = 5–70°:
h k l, d (Å), I (rel.)
3 0 1, 3.958, 44
2 1 1, 3.750, 32
4 1 0, 3.325, 31
0 2 0, 3.041, 69
0 0 2, 2.974, 94
4 1 1, 2.904, 100
1 1 2, 2.635, 35
2 2 1, 2.563, 32
6 1 1, 2.249, 67
4 1 3, 1.703, 32

Computed X-ray powder pattern of U2Pb2S7 for Cu Kα (weighted mean of Kα1 and Kα2), from a crystal structure in Alexandria, relaxed with GGA-PBE.
Kinematic intensities with the Lorentz-polarization factor, no thermal factor.

Cell and atoms:
a b c (Å): 4.020 14.783 8.556
angles (deg): 90.00 90.00 90.00
Space group Imm2 (No. 44)
One atom of each set of equivalent atoms:
U 0.000 0.000 0.000 x2
U 0.000 0.500 0.044 x2
Pb 0.000 0.243 0.265 x4
S 0.000 0.000 0.324 x2
S 0.000 0.096 0.723 x4
S 0.000 0.331 0.954 x4
S 0.000 0.384 0.536 x4

Largest 10 diffraction maxima, sorted by position, 2θ = 5–70°:
h k l, d (Å), I (rel.)
0 2 2, 3.701, 100
1 0 1, 3.638, 33
1 2 1, 3.264, 48
1 4 1, 2.593, 47
1 2 3, 2.219, 26
0 6 2, 2.136, 31
1 6 1, 2.040, 18
0 8 0, 1.850, 16
2 2 2, 1.766, 29
2 6 2, 1.464, 19

Computed X-ray powder pattern of CrGaSi for Cu Kα (weighted mean of Kα1 and Kα2), from a crystal structure in Alexandria, relaxed with GGA-PBE.
Kinematic intensities with the Lorentz-polarization factor, no thermal factor.

Cell and atoms:
a b c (Å): 3.551 3.551 7.341
angles (deg): 90.00 90.00 90.00
Space group I-4m2 (No. 119)
One atom of each set of equivalent atoms:
Cr 0.000 0.000 0.000 x2
Ga 0.000 0.500 0.250 x2
Si 0.000 0.500 0.750 x2

Largest 10 diffraction maxima, sorted by position, 2θ = 5–70°:
h k l, d (Å), I (rel.)
0 0 2, 3.670, 12
1 0 1, 3.196, 71
1 1 0, 2.511, 9
1 1 2, 2.072, 100
1 0 3, 2.015, 19
0 0 4, 1.835, 17
2 0 0, 1.775, 30
2 0 2, 1.598, 5
2 1 1, 1.552, 15
1 0 5, 1.357, 5

Computed X-ray powder pattern of Ce2Pr for Cu Kα (weighted mean of Kα1 and Kα2), from a crystal structure in Alexandria, relaxed with GGA-PBE.
Kinematic intensities with the Lorentz-polarization factor, no thermal factor.

Cell and atoms:
a b c (Å): 3.456 3.456 15.007
angles (deg): 90.00 90.00 90.00
Space group I4/mmm (No. 139)
One atom of each set of equivalent atoms:
Ce 0.000 0.000 0.175 x4
Pr 0.000 0.000 0.500 x2

Largest 10 diffraction maxima, sorted by position, 2θ = 5–70°:
h k l, d (Å), I (rel.)
1 0 3, 2.843, 100
0 0 6, 2.501, 17
1 1 0, 2.444, 33
1 0 5, 2.266, 1
1 0 7, 1.822, 1
1 1 6, 1.748, 23
2 0 0, 1.728, 12
1 0 9, 1.502, 13
2 1 3, 1.477, 27
2 0 6, 1.422, 11

Computed X-ray powder pattern of NbZnRe for Cu Kα (weighted mean of Kα1 and Kα2), from a crystal structure in Alexandria, relaxed with GGA-PBE.
Kinematic intensities with the Lorentz-polarization factor, no thermal factor.

Cell and atoms:
a b c (Å): 4.5737 4.5737 17.5575
angles (deg): 90.00 90.00 120.00
Space group R-3m (No. 166, hexagonal axes)
One atom of each set of equivalent atoms:
Nb 0.0000 0.0000 0.2136 x6
Zn 0.0000 0.0000 0.3837 x6
Re 0.0000 0.0000 0.0724 x6

Largest 10 diffraction maxima, sorted by position, 2θ = 5–70°:
h k l, d (Å), I (rel.)
1 0 1, 3.864, 58
1 0 4, 2.941, 5
0 0 6, 2.926, 24
1 1 0, 2.287, 100
1 0 7, 2.119, 61
0 2 1, 1.968, 9
0 1 8, 1.920, 7
1 1 6, 1.802, 35
0 2 7, 1.554, 23
2 1 1, 1.492, 8

Computed X-ray powder pattern of Ho2CuGe2 for Cu Kα (weighted mean of Kα1 and Kα2), from a crystal structure in Alexandria, relaxed with GGA-PBE.
Kinematic intensities with the Lorentz-polarization factor, no thermal factor.

Cell and atoms:
a b c (Å): 10.542 4.236 10.193
angles (deg): 90.00 117.80 90.00
Space group C2/m (No. 12)
One atom of each set of equivalent atoms:
Ho 0.007 0.000 0.329 x4
Ho 0.186 0.000 0.103 x4
Cu 0.220 0.500 0.350 x4
Ge 0.024 0.500 0.883 x4
Ge 0.147 0.500 0.568 x4

Largest 10 diffraction maxima, sorted by position, 2θ = 5–70°:
h k l, d (Å), I (rel.)
2 0 -3, 3.326, 19
1 1 2, 2.688, 80
3 1 -2, 2.655, 26
1 1 -3, 2.630, 100
3 1 -3, 2.425, 33
0 0 4, 2.254, 19
3 1 1, 2.210, 49
0 2 0, 2.118, 44
4 2 -2, 1.650, 15
7 1 -3, 1.419, 18

Computed X-ray powder pattern of Be5NiRh4 for Cu Kα (weighted mean of Kα1 and Kα2), from a crystal structure in Alexandria, relaxed with GGA-PBE.
Kinematic intensities with the Lorentz-polarization factor, no thermal factor.

Cell and atoms:
a b c (Å): 2.770 2.770 13.696
angles (deg): 90.00 90.00 90.00
Space group P4/mmm (No. 123)
One atom of each set of equivalent atoms:
Be 0.000 0.000 0.000 x1
Be 0.000 0.000 0.205 x2
Be 0.000 0.000 0.405 x2
Ni 0.500 0.500 0.500 x1
Rh 0.500 0.500 0.102 x2
Rh 0.500 0.500 0.307 x2

Largest 10 diffraction maxima, sorted by position, 2θ = 5–70°:
h k l, d (Å), I (rel.)
0 0 1, 13.696, 8
0 0 4, 3.424, 3
1 0 0, 2.770, 100
0 0 5, 2.739, 47
1 0 4, 2.154, 4
1 1 0, 1.959, 46
1 0 5, 1.948, 88
1 1 5, 1.593, 36
2 0 0, 1.385, 14
0 0 10, 1.370, 6

Copy entry 7 word for word.
Computed X-ray powder pattern of Ho2CuGe2 for Cu Kα (weighted mean of Kα1 and Kα2), from a crystal structure in Alexandria, relaxed with GGA-PBE.
Kinematic intensities with the Lorentz-polarization factor, no thermal factor.

Cell and atoms:
a b c (Å): 10.542 4.236 10.193
angles (deg): 90.00 117.80 90.00
Space group C2/m (No. 12)
One atom of each set of equivalent atoms:
Ho 0.007 0.000 0.329 x4
Ho 0.186 0.000 0.103 x4
Cu 0.220 0.500 0.350 x4
Ge 0.024 0.500 0.883 x4
Ge 0.147 0.500 0.568 x4

Largest 10 diffraction maxima, sorted by position, 2θ = 5–70°:
h k l, d (Å), I (rel.)
2 0 -3, 3.326, 19
1 1 2, 2.688, 80
3 1 -2, 2.655, 26
1 1 -3, 2.630, 100
3 1 -3, 2.425, 33
0 0 4, 2.254, 19
3 1 1, 2.210, 49
0 2 0, 2.118, 44
4 2 -2, 1.650, 15
7 1 -3, 1.419, 18